1.
Theoretical powder diffraction line list
Compound: Be4CuSb
Radiation: Cu Kα
Structure: a PBE-relaxed structure

Largest 10 diffraction maxima, in order of rising 2θ, 10 to 90 degrees two-theta:
d [Å]  Rel. int.  hkl
3.796  100.0  1 1 1
3.287  8.9  2 0 0
2.325  91.9  2 2 0
1.982  70.7  3 1 1
1.644  11.7  4 0 0
1.508  20.7  3 3 1
1.342  29.9  4 2 2
1.265  21.0  5 1 1
1.162  12.0  4 4 0
1.111  15.2  5 3 1

Atomic structure:
```
data_Be4CuSb
_cell_length_a 6.5750
_cell_length_b 6.5750
_cell_length_c 6.5750
_cell_angle_alpha 90.00
_cell_angle_beta 90.00
_cell_angle_gamma 90.00
_space_group_name_H-M_alt 'F -4 3 m'
_space_group_IT_number 216
_space_group_name_Hall 'F -4 2 3'
loop_
_atom_site_label
_atom_site_fract_x
_atom_site_fract_y
_atom_site_fract_z
Be1 0.1229 0.1229 0.1229
Cu1 0.2500 0.2500 0.7500
Sb1 0.0000 0.0000 0.5000
```


2.
Theoretical powder diffraction line list
Compound: La3TlRu
Radiation: Cu Kα
Structure: a PBE-relaxed structure

Largest 10 diffraction maxima, in order of rising 2θ, 10 to 90 degrees two-theta:
d [Å]  Rel. int.  hkl
3.257  55.4  0 2 2
3.162  33.5  2 0 1
3.099  36.8  0 3 1
2.937  27.5  1 2 2
2.808  100.0  2 2 0
2.668  29.9  2 0 2
2.555  36.2  1 1 3
2.491  36.5  0 4 0
2.335  39.2  1 2 3
1.491  26.5  1 3 5

Atomic structure:
```
data_La3TlRu
_cell_length_a 6.7989
_cell_length_b 9.9659
_cell_length_c 8.6061
_cell_angle_alpha 90.00
_cell_angle_beta 90.00
_cell_angle_gamma 90.00
_space_group_name_H-M_alt 'P n m a'
_space_group_IT_number 62
loop_
_space_group_symop_operation_xyz
'x,y,z'
'-x,-y,-z'
'-x+1/2,-y,z+1/2'
'x+1/2,y,-z+1/2'
'x+1/2,-y+1/2,-z+1/2'
'-x+1/2,y+1/2,z+1/2'
'-x,y+1/2,-z'
'x,-y+1/2,z'
loop_
_atom_site_label
_atom_site_fract_x
_atom_site_fract_y
_atom_site_fract_z
La1 0.0775 0.0485 0.1982
La2 0.1973 0.7500 0.4054
Tl1 0.2286 0.7500 0.9996
Ru1 0.0000 0.0000 0.5000
```


3.
Theoretical powder diffraction line list
Compound: Ti2NbP
Radiation: Cu Kα
Structure: a PBE-relaxed structure

Largest 10 diffraction maxima, in order of rising 2θ, 10 to 90 degrees two-theta:
d [Å]  Rel. int.  hkl
2.768  26.1  2 2 1
2.496  35.6  3 2 1
2.474  81.4  4 2 0
2.356  20.1  2 0 2
2.253  100.0  2 1 2
2.009  27.2  2 2 2
1.923  28.4  0 4 0
1.735  32.5  7 0 1
1.382  24.2  6 3 2
1.288  23.9  2 5 2

Atomic structure:
```
data_Ti2NbP
_cell_length_a 12.9269
_cell_length_b 7.6935
_cell_length_c 5.0611
_cell_angle_alpha 90.00
_cell_angle_beta 90.00
_cell_angle_gamma 90.00
_space_group_name_H-M_alt 'P n m a'
_space_group_IT_number 62
loop_
_space_group_symop_operation_xyz
'x,y,z'
'-x,-y,-z'
'-x+1/2,-y,z+1/2'
'x+1/2,y,-z+1/2'
'x+1/2,-y+1/2,-z+1/2'
'-x+1/2,y+1/2,z+1/2'
'-x,y+1/2,-z'
'x,-y+1/2,z'
loop_
_atom_site_label
_atom_site_fract_x
_atom_site_fract_y
_atom_site_fract_z
Ti1 0.0329 0.0453 0.2472
Ti2 0.2167 0.5444 0.5173
Nb1 0.1127 0.2500 0.7821
Nb2 0.1356 0.7500 0.9843
P1 0.0679 0.7500 0.4691
P2 0.1798 0.2500 0.2880
```


4.
Theoretical powder diffraction line list
Compound: K2BaIn
Radiation: Cu Kα
Structure: a PBE-relaxed structure

Largest 10 diffraction maxima, in order of rising 2θ, 10 to 90 degrees two-theta:
d [Å]  Rel. int.  hkl
3.468  88.6  0 1 2
3.442  86.9  1 0 2
3.096  100.0  1 1 0
2.985  52.0  1 1 -1
2.855  43.8  0 1 3
2.840  43.2  1 0 -3
2.370  21.5  0 1 4
1.855  28.4  1 2 2
1.843  27.8  2 1 2
1.603  34.0  1 1 6

Atomic structure:
```
data_K2BaIn
_cell_length_a 4.3516
_cell_length_b 4.4046
_cell_length_c 11.2466
_cell_angle_alpha 90.00
_cell_angle_beta 90.02
_cell_angle_gamma 90.00
_space_group_name_H-M_alt 'P 1 m 1'
_space_group_IT_number 6
loop_
_space_group_symop_operation_xyz
'x,y,z'
'x,-y,z'
loop_
_atom_site_label
_atom_site_fract_x
_atom_site_fract_y
_atom_site_fract_z
K1 0.0000 0.0000 0.0000
K2 0.4956 0.5000 0.3245
Ba1 0.9987 0.0000 0.6386
In1 0.4993 0.5000 0.7978
```


5.
Theoretical powder diffraction line list
Compound: SbMoP
Radiation: Cu Kα
Structure: a PBE-relaxed structure

Largest 10 diffraction maxima, in order of rising 2θ, 10 to 90 degrees two-theta:
d [Å]  Rel. int.  hkl
2.923  67.1  1 1 1
2.883  100.0  0 2 1
2.827  83.2  1 2 -1
2.726  82.3  2 0 -2
2.692  56.2  0 1 2
2.668  74.5  2 0 0
2.064  54.2  0 3 1
2.038  47.7  2 1 -3
1.883  56.6  0 1 3
1.783  67.3  2 3 -1

Atomic structure:
```
data_SbMoP
_cell_length_a 6.0672
_cell_length_b 6.6109
_cell_length_c 6.7019
_cell_angle_alpha 90.00
_cell_angle_beta 118.41
_cell_angle_gamma 90.00
_space_group_name_H-M_alt 'P 1 21/c 1'
_space_group_IT_number 14
loop_
_space_group_symop_operation_xyz
'x,y,z'
'-x,-y,-z'
'-x,y+1/2,-z+1/2'
'x,-y+1/2,z+1/2'
loop_
_atom_site_label
_atom_site_fract_x
_atom_site_fract_y
_atom_site_fract_z
Sb1 0.1692 0.1340 0.3444
Mo1 0.2847 0.5253 0.5301
P1 0.3353 0.6386 0.2062
```


6.
Theoretical powder diffraction line list
Compound: Pm5Ge3H
Radiation: Cu Kα
Structure: a PBE-relaxed structure

Largest 10 diffraction maxima, in order of rising 2θ, 10 to 90 degrees two-theta:
d [Å]  Rel. int.  hkl
3.813  16.2  2 0 0
2.986  30.4  1 0 2
2.883  38.7  2 1 0
2.635  100.0  2 1 1
2.613  97.5  1 1 2
2.542  53.5  3 0 0
1.822  27.0  2 2 2
1.730  28.4  2 1 3
1.689  17.2  3 2 1
1.644  22.0  4 0 2

Atomic structure:
```
data_Pm5Ge3H
_cell_length_a 8.8068
_cell_length_b 8.8068
_cell_length_c 6.4910
_cell_angle_alpha 90.00
_cell_angle_beta 90.00
_cell_angle_gamma 120.00
_space_group_name_H-M_alt 'P 63/m c m'
_space_group_IT_number 193
_space_group_name_Hall '-P 6c 2'
loop_
_atom_site_label
_atom_site_fract_x
_atom_site_fract_y
_atom_site_fract_z
Pm1 0.0000 0.2495 0.2500
Pm2 0.3333 0.6667 0.0000
Ge1 0.0000 0.3880 0.7500
H1 0.0000 0.0000 0.0000
```


7.
Theoretical powder diffraction line list
Compound: CsNiI6
Radiation: Cu Kα
Structure: a PBE-relaxed structure

Largest 10 diffraction maxima, in order of rising 2θ, 10 to 90 degrees two-theta:
d [Å]  Rel. int.  hkl
5.399  17.5  1 1 0
4.194  15.3  0 2 1
3.312  98.2  2 1 1
3.165  37.9  0 0 3
2.835  100.0  1 2 2
1.971  35.8  2 1 4
1.800  29.0  3 3 0
1.740  15.4  5 0 2
1.564  27.0  3 3 3
1.188  18.3  3 3 6

Atomic structure:
```
data_CsNiI6
_cell_length_a 10.7971
_cell_length_b 10.7971
_cell_length_c 9.4956
_cell_angle_alpha 90.00
_cell_angle_beta 90.00
_cell_angle_gamma 120.00
_space_group_name_H-M_alt 'R -3 m'
_space_group_IT_number 166
_space_group_name_Hall '-R 3 2"'
loop_
_atom_site_label
_atom_site_fract_x
_atom_site_fract_y
_atom_site_fract_z
Cs1 0.0000 0.0000 0.0000
Ni1 0.0000 0.0000 0.5000
I1 0.1036 0.5518 0.3269
```


8.
Theoretical powder diffraction line list
Compound: Na3Zn9Ag2
Radiation: Cu Kα
Structure: a PBE-relaxed structure

Largest 10 diffraction maxima, in order of rising 2θ, 10 to 90 degrees two-theta:
d [Å]  Rel. int.  hkl
7.404  43.2  0 1 1
4.458  71.6  0 2 0
3.971  60.6  0 1 3
2.566  100.0  1 2 3
2.316  89.2  1 3 2
2.282  56.6  1 0 5
2.224  82.5  2 0 0
2.215  41.3  0 0 6
2.031  45.3  1 2 5
1.983  70.2  1 3 4

Atomic structure:
```
data_Na3Zn9Ag2
_cell_length_a 4.4478
_cell_length_b 8.9155
_cell_length_c 13.2911
_cell_angle_alpha 90.00
_cell_angle_beta 90.00
_cell_angle_gamma 90.00
_space_group_name_H-M_alt 'I m m m'
_space_group_IT_number 71
_space_group_name_Hall '-I 2 2'
loop_
_atom_site_label
_atom_site_fract_x
_atom_site_fract_y
_atom_site_fract_z
Na1 0.0000 0.0000 0.0000
Na2 0.0000 0.0000 0.2977
Zn1 0.0000 0.2831 0.1312
Zn2 0.0000 0.3534 0.3260
Zn3 0.0000 0.5000 0.0000
Ag1 0.0000 0.1869 0.5000
```


Copy entry 6 word for word.
Theoretical powder diffraction line list
Compound: Pm5Ge3H
Radiation: Cu Kα
Structure: a PBE-relaxed structure

Largest 10 diffraction maxima, in order of rising 2θ, 10 to 90 degrees two-theta:
d [Å]  Rel. int.  hkl
3.813  16.2  2 0 0
2.986  30.4  1 0 2
2.883  38.7  2 1 0
2.635  100.0  2 1 1
2.613  97.5  1 1 2
2.542  53.5  3 0 0
1.822  27.0  2 2 2
1.730  28.4  2 1 3
1.689  17.2  3 2 1
1.644  22.0  4 0 2

Atomic structure:
```
data_Pm5Ge3H
_cell_length_a 8.8068
_cell_length_b 8.8068
_cell_length_c 6.4910
_cell_angle_alpha 90.00
_cell_angle_beta 90.00
_cell_angle_gamma 120.00
_space_group_name_H-M_alt 'P 63/m c m'
_space_group_IT_number 193
_space_group_name_Hall '-P 6c 2'
loop_
_atom_site_label
_atom_site_fract_x
_atom_site_fract_y
_atom_site_fract_z
Pm1 0.0000 0.2495 0.2500
Pm2 0.3333 0.6667 0.0000
Ge1 0.0000 0.3880 0.7500
H1 0.0000 0.0000 0.0000
```